No. 1
The following is a simulated powder diffraction line list of Pu3CoC3. It was derived from the PBE geometry in Alexandria, using Cu Kα, 1.54184 Å.
No peak broadening, texture or thermal motion is included.

Atomic structure:
abc: 6.3878 6.3878 5.1249
angles: 90.00 90.00 98.69
Fractional coordinates of all 14 atoms:
1 Pu 0.1228 0.8772 0.7500
2 Pu 0.1755 0.4206 0.7500
3 Pu 0.4206 0.1755 0.2500
4 Pu 0.5794 0.8245 0.7500
5 Pu 0.8245 0.5794 0.2500
6 Pu 0.8772 0.1228 0.2500
7 Co 0.3046 0.6954 0.2500
8 Co 0.6954 0.3046 0.7500
9 C 0.1117 0.8883 0.2500
10 C 0.1583 0.4188 0.2500
11 C 0.4188 0.1583 0.7500
12 C 0.5812 0.8417 0.2500
13 C 0.8417 0.5812 0.7500
14 C 0.8883 0.1117 0.7500

Largest 10 diffraction maxima, in order of rising 2θ, 10° ≤ 2θ ≤ 90°:
Position (°2θ)	I_rel
22.3	23.7
33.3	100.0
33.6	22.8
34.5	20.0
35.0	35.3
37.1	24.6
49.3	15.8
51.9	19.1
61.7	18.1
64.5	11.8



No. 2
The following is a simulated powder diffraction line list of NaSnO. It was derived from the PBE geometry in Alexandria, using Cu Kα, 1.54184 Å.
No peak broadening, texture or thermal motion is included.

Atomic structure:
abc: 5.7951 5.7951 8.2902
angles: 125.76 125.76 32.79
Fractional coordinates of all 6 atoms:
1 Na 0.0532 0.0532 0.3338
2 Na 0.9468 0.9468 0.6662
3 Sn 0.3045 0.3045 0.8668
4 Sn 0.6955 0.6955 0.1332
5 O 0.3622 0.3622 0.1670
6 O 0.6378 0.6378 0.8330

Largest 10 diffraction maxima, in order of rising 2θ, 10° ≤ 2θ ≤ 90°:
Position (°2θ)	I_rel
13.5	100.0
20.1	39.6
29.4	65.4
30.5	40.5
32.3	36.1
32.7	41.5
35.5	40.4
37.0	58.6
41.3	45.4
44.5	20.7



No. 3
The following is a simulated powder diffraction line list of Np3In2Se6. It was derived from the PBE geometry in Alexandria, using Cu Kα, 1.54184 Å.
No peak broadening, texture or thermal motion is included.

Atomic structure:
abc: 7.1938 7.1938 8.0775
angles: 98.53 98.53 119.99
Fractional coordinates of all 11 atoms:
1 Np 0.0000 0.0000 0.0000
2 Np 0.3339 0.6661 0.0000
3 Np 0.6661 0.3339 0.0000
4 In 0.1667 0.8333 0.5000
5 In 0.8333 0.1667 0.5000
6 Se 0.0663 0.4016 0.2046
7 Se 0.2629 0.2629 0.7945
8 Se 0.4016 0.0663 0.2046
9 Se 0.5984 0.9337 0.7954
10 Se 0.7371 0.7371 0.2055
11 Se 0.9337 0.5984 0.7954

Largest 10 diffraction maxima, in order of rising 2θ, 10° ≤ 2θ ≤ 90°:
Position (°2θ)	I_rel
11.5	52.1
25.1	12.9
25.9	14.4
29.2	100.0
36.9	16.2
40.0	37.7
43.6	35.5
53.3	18.7
66.1	13.4
71.3	15.8



No. 4
The following is a simulated powder diffraction line list of NdTm3Au2. It was derived from the PBE geometry in Alexandria, using Cu Kα, 1.54184 Å.
No peak broadening, texture or thermal motion is included.

Atomic structure:
abc: 4.9331 8.9024 7.1632
angles: 90.00 90.00 90.00
Fractional coordinates of all 12 atoms:
1 Nd 0.0000 0.0748 0.0000
2 Nd 0.0000 0.9252 0.5000
3 Tm 0.0000 0.3315 0.6346
4 Tm 0.0000 0.6685 0.1346
5 Tm 0.5000 0.1731 0.3374
6 Tm 0.5000 0.4302 0.9718
7 Tm 0.5000 0.5698 0.4718
8 Tm 0.5000 0.8269 0.8374
9 Au 0.0000 0.3559 0.2369
10 Au 0.0000 0.6441 0.7369
11 Au 0.5000 0.1580 0.7381
12 Au 0.5000 0.8420 0.2381

Largest 10 diffraction maxima, in order of rising 2θ, 10° ≤ 2θ ≤ 90°:
Position (°2θ)	I_rel
29.8	69.1
30.9	26.9
32.1	23.1
32.5	100.0
35.3	78.8
36.4	65.6
43.0	21.7
43.3	22.1
43.7	24.6
68.4	20.8



No. 5
The following is a simulated powder diffraction line list of Ac12InPd7. It was derived from the PBE geometry in Alexandria, using Cu Kα, 1.54184 Å.
No peak broadening, texture or thermal motion is included.

Atomic structure:
abc: 9.8014 9.8014 9.8014
angles: 110.34 110.34 110.34
Fractional coordinates of all 20 atoms:
1 Ac 0.1159 0.2616 0.6681
2 Ac 0.1192 0.4066 0.3258
3 Ac 0.2616 0.6681 0.1159
4 Ac 0.3258 0.1192 0.4066
5 Ac 0.3319 0.8841 0.7384
6 Ac 0.4066 0.3258 0.1192
7 Ac 0.5934 0.6742 0.8808
8 Ac 0.6681 0.1159 0.2616
9 Ac 0.6742 0.8808 0.5934
10 Ac 0.7384 0.3319 0.8841
11 Ac 0.8808 0.5934 0.6742
12 Ac 0.8841 0.7384 0.3319
13 In 0.0000 0.0000 0.0000
14 Pd 0.0357 0.2708 0.9448
15 Pd 0.0552 0.9643 0.7292
16 Pd 0.2708 0.9448 0.0357
17 Pd 0.5000 0.5000 0.5000
18 Pd 0.7292 0.0552 0.9643
19 Pd 0.9448 0.0357 0.2708
20 Pd 0.9643 0.7292 0.0552

Largest 10 diffraction maxima, in order of rising 2θ, 10° ≤ 2θ ≤ 90°:
Position (°2θ)	I_rel
24.9	80.8
28.6	22.8
29.4	18.4
30.0	100.0
34.6	15.9
36.4	16.9
40.4	50.2
41.4	16.1
50.2	22.8
51.1	17.4



No. 6
The following is a simulated powder diffraction line list of Tb2Si2Rh5. It was derived from the PBE geometry in Alexandria, using Cu Kα, 1.54184 Å.
No peak broadening, texture or thermal motion is included.

Atomic structure:
abc: 4.1377 4.1377 8.8084
angles: 90.00 90.00 90.00
Fractional coordinates of all 9 atoms:
1 Tb 0.0000 0.0000 0.0000
2 Tb 0.0000 0.0000 0.5000
3 Si 0.5000 0.5000 0.1397
4 Si 0.5000 0.5000 0.8603
5 Rh 0.0000 0.5000 0.2637
6 Rh 0.0000 0.5000 0.7363
7 Rh 0.5000 0.0000 0.2637
8 Rh 0.5000 0.0000 0.7363
9 Rh 0.5000 0.5000 0.5000

Largest 10 diffraction maxima, in order of rising 2θ, 10° ≤ 2θ ≤ 90°:
Position (°2θ)	I_rel
10.0	8.5
29.6	12.6
36.9	100.0
41.0	16.0
43.7	42.7
61.5	19.1
63.6	11.8
72.0	13.5
75.9	23.8
78.5	9.3



No. 7
The following is a simulated powder diffraction line list of KLi2Au. It was derived from the PBE geometry in Alexandria, using Cu Kα, 1.54184 Å.
No peak broadening, texture or thermal motion is included.

Atomic structure:
abc: 4.1638 4.3455 6.8670
angles: 90.00 105.15 90.00
Fractional coordinates of all 4 atoms:
1 K 0.0000 0.0000 0.0000
2 Li 0.3029 0.0000 0.5294
3 Li 0.7810 0.5000 0.4909
4 Au 0.3861 0.5000 0.7351

Largest 10 diffraction maxima, in order of rising 2θ, 10° ≤ 2θ ≤ 90°:
Position (°2θ)	I_rel
13.4	100.0
20.4	23.6
22.1	23.3
22.7	24.3
24.5	54.7
28.8	23.5
30.1	21.8
30.3	38.4
30.7	35.7
34.0	32.2



No. 8
The following is a simulated powder diffraction line list of Pm3Ge5. It was derived from the PBE geometry in Alexandria, using Cu Kα, 1.54184 Å.
No peak broadening, texture or thermal motion is included.

Atomic structure:
abc: 11.3275 7.6262 9.3643
angles: 82.95 41.92 55.13
Fractional coordinates of all 16 atoms:
1 Pm 0.0000 0.0000 0.0000
2 Pm 0.2500 0.2500 0.2500
3 Pm 0.3170 0.6693 0.3453
4 Pm 0.5816 0.9047 0.5807
5 Pm 0.6693 0.3170 0.6684
6 Pm 0.9047 0.5816 0.9330
7 Ge 0.0666 0.7584 0.2599
8 Ge 0.2075 0.4779 0.9320
9 Ge 0.3180 0.8674 0.0425
10 Ge 0.3349 0.9901 0.4916
11 Ge 0.4779 0.2075 0.3826
12 Ge 0.5519 0.5519 0.4481
13 Ge 0.7584 0.0666 0.9151
14 Ge 0.8019 0.8019 0.6981
15 Ge 0.8674 0.3180 0.7721
16 Ge 0.9901 0.3349 0.1834

Largest 10 diffraction maxima, in order of rising 2θ, 10° ≤ 2θ ≤ 90°:
Position (°2θ)	I_rel
28.6	38.1
32.8	100.0
38.6	43.9
43.2	36.6
50.4	19.7
52.6	11.0
59.3	22.0
62.8	11.3
68.5	14.7
72.7	17.9